[1]
Starting from a cell relaxed with GGA-PBE, the X-ray diffraction stick pattern of MgHg2Sb4O12 was computed for Cu Kα (weighted mean of Kα1 and Kα2).

The 10 most intense peaks (2θ from 10° to 90°), by intensity:
two_theta, I (rel.)
31.6, 100
25.7, 70
49.2, 38
24.3, 38
25.9, 24
36.8, 18
53.5, 17
35.7, 15
39.1, 14
47.6, 14

Cell and atoms:
Unit cell a=10.250 b=5.042 c=5.042 alpha=86.97 beta=90.00 gamma=90.00
Fractional coordinates of all 19 atoms:
Mg1 0.000 0.000 0.000
Hg1 0.000 0.630 0.630
Hg2 0.500 0.291 0.291
Sb1 0.190 0.280 0.280
Sb2 0.341 0.785 0.785
Sb3 0.659 0.785 0.785
Sb4 0.810 0.280 0.280
O1 0.000 0.074 0.426
O2 0.000 0.426 0.074
O3 0.194 0.980 0.980
O4 0.208 0.568 0.568
O5 0.326 0.065 0.486
O6 0.326 0.486 0.065
O7 0.500 0.615 0.615
O8 0.500 0.956 0.956
O9 0.674 0.065 0.486
O10 0.674 0.486 0.065
O11 0.792 0.568 0.568
O12 0.806 0.980 0.980

[2]
Starting from a cell relaxed with GGA-PBE, the X-ray diffraction stick pattern of SrAu5 was computed for Cu Kα (weighted mean of Kα1 and Kα2).

The 10 most intense peaks (2θ from 10° to 90°), by intensity:
two_theta, I (rel.)
36.8, 100
41.2, 78
17.9, 58
38.5, 37
78.3, 29
36.2, 26
59.3, 25
65.2, 24
68.6, 17
53.9, 17

Cell and atoms:
Unit cell a=5.725 b=5.725 c=4.675 alpha=90.00 beta=90.00 gamma=120.00
Fractional coordinates of all 6 atoms:
Sr1 0.000 0.000 0.000
Au1 0.000 0.500 0.500
Au2 0.333 0.667 0.000
Au3 0.500 0.000 0.500
Au4 0.500 0.500 0.500
Au5 0.667 0.333 0.000

[3]
Starting from a cell relaxed with GGA-PBE, the X-ray diffraction stick pattern of CdI6N4 was computed for Cu Kα (weighted mean of Kα1 and Kα2).

The 10 most intense peaks (2θ from 10° to 90°), by intensity:
two_theta, I (rel.)
23.4, 100
22.7, 74
21.1, 49
38.8, 42
34.5, 29
34.4, 29
31.7, 25
42.5, 21
32.2, 20
33.0, 20

Cell and atoms:
Unit cell a=12.184 b=12.184 c=12.184 alpha=139.58 beta=139.58 gamma=58.49
Fractional coordinates of all 22 atoms:
Cd1 0.375 0.625 0.750
Cd2 0.625 0.375 0.250
I1 0.163 0.234 0.929
I2 0.187 0.437 0.750
I3 0.195 0.766 0.429
I4 0.234 0.163 0.429
I5 0.234 0.805 0.071
I6 0.437 0.187 0.250
I7 0.563 0.813 0.750
I8 0.766 0.195 0.929
I9 0.766 0.837 0.571
I10 0.805 0.234 0.571
I11 0.813 0.563 0.250
I12 0.837 0.766 0.071
N1 0.196 0.446 0.393
N2 0.196 0.804 0.750
N3 0.446 0.196 0.893
N4 0.446 0.554 0.250
N5 0.554 0.446 0.750
N6 0.554 0.804 0.107
N7 0.804 0.196 0.250
N8 0.804 0.554 0.607

[4]
Starting from a cell relaxed with GGA-PBE, the X-ray diffraction stick pattern of BaMg2FeH8 was computed for Cu Kα (weighted mean of Kα1 and Kα2).

The 10 most intense peaks (2θ from 10° to 90°), by intensity:
two_theta, I (rel.)
22.5, 100
34.3, 89
39.6, 49
25.9, 45
47.7, 38
25.6, 35
53.4, 25
57.8, 24
68.4, 23
85.7, 16

Cell and atoms:
Unit cell a=4.557 b=4.557 c=6.970 alpha=90.00 beta=90.00 gamma=120.00
Fractional coordinates of all 12 atoms:
Ba1 0.000 0.000 0.000
Mg1 0.333 0.667 0.612
Mg2 0.667 0.333 0.388
Fe1 0.000 0.000 0.500
H1 0.159 0.319 0.364
H2 0.159 0.841 0.364
H3 0.319 0.159 0.636
H4 0.333 0.667 0.891
H5 0.667 0.333 0.109
H6 0.681 0.841 0.364
H7 0.841 0.159 0.636
H8 0.841 0.681 0.636

[5]
Starting from a cell relaxed with GGA-PBE, the X-ray diffraction stick pattern of CuPd was computed for Cu Kα (weighted mean of Kα1 and Kα2).

The 6 most intense peaks (2θ from 10° to 90°), by intensity:
two_theta, I (rel.)
42.4, 100
77.5, 31
61.4, 16
29.6, 6
69.7, 2
52.5, 2

Cell and atoms:
Unit cell a=3.018 b=3.018 c=3.018 alpha=90.00 beta=90.00 gamma=90.00
Fractional coordinates of all 2 atoms:
Cu1 0.000 0.000 0.000
Pd1 0.500 0.500 0.500

[6]
Starting from a cell relaxed with GGA-PBE, the X-ray diffraction stick pattern of Y3ErTi4Si2O18 was computed for Cu Kα (weighted mean of Kα1 and Kα2).

The 10 most intense peaks (2θ from 10° to 90°), by intensity:
two_theta, I (rel.)
31.3, 100
25.6, 73
31.9, 37
45.8, 32
37.7, 28
34.3, 27
15.8, 26
19.8, 25
23.0, 25
42.2, 21

Cell and atoms:
Unit cell a=4.906 b=11.237 c=12.403 alpha=90.00 beta=95.72 gamma=90.00
Fractional coordinates of all 56 atoms:
Y1 0.197 0.000 0.069
Y2 0.236 0.279 0.578
Y3 0.264 0.003 0.422
Y4 0.736 0.503 0.578
Y5 0.764 0.779 0.422
Y6 0.803 0.500 0.931
Er1 0.304 0.282 0.931
Er2 0.696 0.782 0.069
Ti1 0.051 0.804 0.850
Ti2 0.085 0.477 0.361
Ti3 0.415 0.805 0.639
Ti4 0.449 0.478 0.150
Ti5 0.551 0.978 0.850
Ti6 0.585 0.305 0.361
Ti7 0.915 0.977 0.639
Ti8 0.949 0.304 0.150
Si1 0.178 0.735 0.247
Si2 0.321 0.547 0.752
Si3 0.679 0.047 0.248
Si4 0.822 0.235 0.753
O1 0.053 0.093 0.562
O2 0.079 0.193 0.065
O3 0.083 0.853 0.553
O4 0.117 0.430 0.065
O5 0.157 0.240 0.755
O6 0.187 0.477 0.644
O7 0.229 0.691 0.746
O8 0.233 0.934 0.745
O9 0.247 0.800 0.134
O10 0.255 0.481 0.866
O11 0.267 0.349 0.255
O12 0.271 0.591 0.254
O13 0.313 0.805 0.356
O14 0.343 0.043 0.246
O15 0.385 0.852 0.936
O16 0.417 0.430 0.447
O17 0.421 0.091 0.933
O18 0.447 0.189 0.438
O19 0.553 0.689 0.562
O20 0.579 0.591 0.067
O21 0.583 0.930 0.553
O22 0.615 0.352 0.064
O23 0.657 0.543 0.754
O24 0.687 0.305 0.644
O25 0.729 0.091 0.746
O26 0.733 0.849 0.745
O27 0.745 0.981 0.134
O28 0.753 0.300 0.866
O29 0.767 0.434 0.255
O30 0.771 0.191 0.254
O31 0.813 0.977 0.356
O32 0.843 0.740 0.245
O33 0.883 0.930 0.935
O34 0.917 0.353 0.447
O35 0.921 0.693 0.935
O36 0.947 0.593 0.438